Theoretical powder diffraction line list
Compound: MnAl2Sb2P6O24
Radiation: Cu Ka
Structure: a cell relaxed with GGA+U
Peak positions follow from Bragg's law for the DFT cell and can differ from measured ones.

```
data_MnAl2Sb2P6O24
_symmetry_space_group_name_H-M 'P 1'
_symmetry_Int_Tables_number 1
_cell_length_a 8.609
_cell_length_b 8.609
_cell_length_c 8.609
_cell_angle_alpha 58.79
_cell_angle_beta 58.79
_cell_angle_gamma 58.79
loop_
_symmetry_equiv_pos_as_xyz
'x,y,z'
loop_
_atom_site_label
_atom_site_type_symbol
_atom_site_fract_x
_atom_site_fract_y
_atom_site_fract_z
Mn1 Mn 0.000 0.000 0.000
Al1 Al 0.145 0.145 0.145
Al2 Al 0.855 0.855 0.855
Sb1 Sb 0.359 0.359 0.359
Sb2 Sb 0.641 0.641 0.641
P1 P 0.034 0.762 0.459
P2 P 0.238 0.541 0.966
P3 P 0.459 0.034 0.762
P4 P 0.541 0.966 0.238
P5 P 0.762 0.459 0.034
P6 P 0.966 0.238 0.541
O1 O 0.009 0.183 0.380
O2 O 0.092 0.907 0.253
O3 O 0.093 0.747 0.908
O4 O 0.148 0.249 0.531
O5 O 0.183 0.380 0.009
O6 O 0.201 0.561 0.479
O7 O 0.249 0.531 0.148
O8 O 0.253 0.092 0.907
O9 O 0.380 0.009 0.183
O10 O 0.439 0.521 0.799
O11 O 0.469 0.852 0.751
O12 O 0.479 0.201 0.561
O13 O 0.521 0.799 0.439
O14 O 0.531 0.148 0.249
O15 O 0.561 0.479 0.201
O16 O 0.620 0.991 0.817
O17 O 0.747 0.908 0.093
O18 O 0.751 0.469 0.852
O19 O 0.799 0.439 0.521
O20 O 0.817 0.620 0.991
O21 O 0.852 0.751 0.469
O22 O 0.907 0.253 0.092
O23 O 0.908 0.093 0.747
O24 O 0.991 0.817 0.620
```

Principal peaks in the range 10° ≤ 2θ ≤ 90°, most intense first:
2θ (°)	I/Imax
24.52	1000
21.02	537
32.97	389
20.64	376
12.48	351
29.63	302
36.84	200
47.42	189
39.04	153
57.72	152